# 1
For Pm7Si2C2, a DFT-relaxed cell (PBE, Alexandria) gives the simulated powder X-ray diffraction pattern in this record (copper Kα).
Neutral-atom scattering factors, no anomalous dispersion.

Structure:
a = 9.0132 Å, b = 9.0132 Å, c = 9.0132 Å
α = 156.67°, β = 72.77°, γ = 112.21°
Positions (direct):
1 Pm 0.0000 0.0000 0.0000
2 Pm 0.2926 0.4193 0.8733
3 Pm 0.3050 0.6119 0.6931
4 Pm 0.5459 0.4193 0.1267
5 Pm 0.6412 0.2891 0.3521
6 Pm 0.9188 0.6119 0.3069
7 Pm 0.9370 0.2891 0.6479
8 Si 0.2431 0.7431 0.5000
9 Si 0.6704 0.6704 0.0000
10 C 0.1625 0.9211 0.2414
11 C 0.6798 0.9211 0.7586

The 10 most intense peaks (2θ = 10–90°), low angle first:
2θ (°)	intensity
26.00	488
27.31	357
28.81	374
30.38	357
30.71	361
30.92	648
32.10	432
32.50	1000
36.05	905
60.94	388

---

# 2
For Sc4NCl6, a DFT-relaxed cell (PBE, Alexandria) gives the simulated powder X-ray diffraction pattern in this record (copper Kα).
Neutral-atom scattering factors, no anomalous dispersion.

Structure:
a = 11.8007 Å, b = 12.0506 Å, c = 3.5030 Å
α = 90.00°, β = 90.00°, γ = 90.00°
Positions (direct):
1 Sc 0.0945 0.0836 0.0000
2 Sc 0.1260 0.8634 0.5000
3 Sc 0.3740 0.3634 0.5000
4 Sc 0.4055 0.5836 0.0000
5 Sc 0.5945 0.4164 0.0000
6 Sc 0.6260 0.6366 0.5000
7 Sc 0.8740 0.1366 0.5000
8 Sc 0.9055 0.9164 0.0000
9 N 0.0000 0.0000 0.5000
10 N 0.5000 0.5000 0.5000
11 Cl 0.0298 0.7419 0.0000
12 Cl 0.2184 0.1916 0.5000
13 Cl 0.2408 0.4446 0.0000
14 Cl 0.2592 0.9446 0.0000
15 Cl 0.2816 0.6916 0.5000
16 Cl 0.4702 0.2419 0.0000
17 Cl 0.5298 0.7581 0.0000
18 Cl 0.7184 0.3084 0.5000
19 Cl 0.7408 0.0554 0.0000
20 Cl 0.7592 0.5554 0.0000
21 Cl 0.7816 0.8084 0.5000
22 Cl 0.9702 0.2581 0.0000

The 10 most intense peaks (2θ = 10–90°), low angle first:
2θ (°)	intensity
10.49	1000
30.61	72
33.25	227
37.31	180
37.48	289
37.61	128
42.91	74
52.23	79
52.52	77
54.01	71

---

# 3
For Ho7Er2, a DFT-relaxed cell (PBE, Alexandria) gives the simulated powder X-ray diffraction pattern in this record (copper Kα).
Neutral-atom scattering factors, no anomalous dispersion.

Structure:
a = 9.5650 Å, b = 9.5650 Å, c = 3.5144 Å
α = 90.00°, β = 90.00°, γ = 120.00°
Positions (direct):
1 Ho 0.0000 0.0000 0.0000
2 Ho 0.0000 0.3040 0.5000
3 Ho 0.0000 0.6378 0.0000
4 Ho 0.3040 0.0000 0.5000
5 Ho 0.3622 0.3622 0.0000
6 Ho 0.6378 0.0000 0.0000
7 Ho 0.6960 0.6960 0.5000
8 Er 0.3333 0.6667 0.5000
9 Er 0.6667 0.3333 0.5000

The 10 most intense peaks (2θ = 10–90°), low angle first:
2θ (°)	intensity
31.59	791
32.42	1000
33.44	273
38.51	191
45.90	230
54.93	208
57.32	198
57.84	147
62.67	304
81.53	111